# 1
Diffraction record for Fe3NiP4. The X-ray diffraction stick pattern is computed, not measured: it uses a DFT-relaxed cell (PBE, the Materials Project) and a wavelength of 1.5418 Å.

Cell: 5.042 3.248 5.641 Å, 90.00 90.38 90.00°
Sites, in units of the cell vectors:
Fe  0.000  0.000  0.000
Fe  0.003  0.500  0.599
Fe  0.501  0.000  0.097
Ni  0.505  0.500  0.499
P  0.188  0.500  0.219
P  0.302  0.000  0.727
P  0.703  0.500  0.887
P  0.823  0.000  0.373

Top 12 peaks for 2θ from 10° to 80°, in order of rising 2θ:
2θ (°)  I (rel.)
31.8  100
35.6  22
36.5  21
36.6  24
46.2  28
46.4  27
48.3  24
48.4  53
48.6  81
51.8  12
56.6  32
56.7  30


# 2
Diffraction record for TiS2N. The X-ray diffraction stick pattern is computed, not measured: it uses a DFT-relaxed cell (PBE, the Materials Project) and a wavelength of 1.5418 Å.

Cell: 8.941 8.941 8.941 Å, 22.07 22.07 22.07°
Sites, in units of the cell vectors:
Ti  0.000  0.000  0.000
S  0.388  0.388  0.388
S  0.612  0.612  0.612
N  0.833  0.833  0.833

Top 12 peaks for 2θ from 10° to 80°, in order of rising 2θ:
2θ (°)  I (rel.)
10.1  100
20.4  4
30.9  11
34.8  40
38.8  4
41.1  16
46.3  10
53.6  12
54.7  7
55.2  9
65.5  5
69.7  3


# 3
Diffraction record for ErAgSe2. The X-ray diffraction stick pattern is computed, not measured: it uses a DFT-relaxed cell (PBE, the Materials Project) and a wavelength of 1.5418 Å.

Cell: 4.086 4.086 5.677 Å, 90.00 90.00 90.00°
Sites, in units of the cell vectors:
Er  0.000  0.000  0.000
Ag  0.500  0.500  0.500
Se  0.000  0.000  0.500
Se  0.500  0.500  0.000

Top 12 peaks for 2θ from 10° to 80°, in order of rising 2θ:
2θ (°)  I (rel.)
26.9  21
31.0  100
31.5  48
44.3  37
44.8  71
52.6  7
55.4  38
64.5  12
65.8  6
73.3  16
73.6  16
74.5  15


# 4
Diffraction record for Nb3Ni. The X-ray diffraction stick pattern is computed, not measured: it uses a DFT-relaxed cell (PBE, the Materials Project) and a wavelength of 1.5418 Å.

Cell: 5.069 5.069 5.069 Å, 133.93 133.93 67.20°
Sites, in units of the cell vectors:
Nb  0.000  0.000  0.000
Nb  0.250  0.750  0.500
Nb  0.750  0.250  0.500
Ni  0.500  0.500  0.000

Top 12 peaks for 2θ from 10° to 80°, in order of rising 2θ:
2θ (°)  I (rel.)
21.0  1
24.8  2
31.9  1
38.5  100
39.2  1
42.8  18
45.7  30
52.7  1
64.5  21
66.7  9
75.6  13
79.7  22


# 5
Diffraction record for Ba2NaNb5O15. The X-ray diffraction stick pattern is computed, not measured: it uses a DFT-relaxed cell (PBE, the Materials Project) and a wavelength of 1.5418 Å.

Cell: 12.645 12.645 4.144 Å, 90.00 90.00 90.00°
Sites, in units of the cell vectors:
Ba  0.171  0.329  0.000
Ba  0.329  0.829  0.000
Ba  0.671  0.171  0.000
Ba  0.829  0.671  0.000
Na  0.000  0.000  0.953
Na  0.500  0.500  0.953
Nb  0.000  0.500  0.489
Nb  0.076  0.792  0.494
Nb  0.208  0.076  0.494
Nb  0.292  0.576  0.494
Nb  0.424  0.292  0.494
Nb  0.500  0.000  0.489
Nb  0.576  0.708  0.494
Nb  0.708  0.424  0.494
Nb  0.792  0.924  0.494
Nb  0.924  0.208  0.494
O  0.000  0.500  0.042
O  0.006  0.343  0.548
O  0.068  0.141  0.559
O  0.078  0.796  0.048
O  0.141  0.932  0.559
O  0.157  0.494  0.548
O  0.204  0.078  0.048
O  0.219  0.719  0.541
O  0.281  0.219  0.541
O  0.296  0.578  0.048
O  0.343  0.994  0.548
O  0.359  0.432  0.559
O  0.422  0.296  0.048
O  0.432  0.641  0.559
O  0.494  0.843  0.548
O  0.500  0.000  0.042
O  0.506  0.157  0.548
O  0.568  0.359  0.559
O  0.578  0.704  0.048
O  0.641  0.568  0.559
O  0.657  0.006  0.548
O  0.704  0.422  0.048
O  0.719  0.781  0.541
O  0.781  0.281  0.541
O  0.796  0.922  0.048
O  0.843  0.506  0.548
O  0.859  0.068  0.559
O  0.922  0.204  0.048
O  0.932  0.859  0.559
O  0.994  0.657  0.548

Top 12 peaks for 2θ from 10° to 80°, in order of rising 2θ:
2θ (°)  I (rel.)
25.4  34
26.7  100
29.1  97
30.0  28
31.1  86
31.6  24
33.5  22
43.7  36
50.7  28
51.1  29
51.2  32
53.4  46


# 6
Diffraction record for MgPd3. The X-ray diffraction stick pattern is computed, not measured: it uses a DFT-relaxed cell (PBE, the Materials Project) and a wavelength of 1.5418 Å.

Cell: 8.432 8.432 8.432 Å, 152.72 152.72 38.97°
Sites, in units of the cell vectors:
Mg  0.124  0.124  0.000
Mg  0.876  0.876  0.000
Pd  0.000  0.500  0.500
Pd  0.250  0.750  0.500
Pd  0.374  0.374  0.000
Pd  0.500  0.000  0.500
Pd  0.626  0.626  0.000
Pd  0.750  0.250  0.500

Top 12 peaks for 2θ from 10° to 80°, in order of rising 2θ:
2θ (°)  I (rel.)
22.4  6
23.1  11
28.1  7
31.8  5
36.2  3
39.2  100
45.6  48
46.0  2
51.4  3
51.7  2
54.4  2
66.5  31


# 7
Diffraction record for RbLaZr6FeCl18. The X-ray diffraction stick pattern is computed, not measured: it uses a DFT-relaxed cell (PBE, the Materials Project) and a wavelength of 1.5418 Å.

Cell: 9.879 9.879 18.765 Å, 90.00 90.00 120.00°
Sites, in units of the cell vectors:
Rb  0.333  0.667  0.250
Rb  0.667  0.333  0.750
La  0.333  0.667  0.750
La  0.667  0.333  0.250
Zr  0.041  0.219  0.925
Zr  0.041  0.822  0.575
Zr  0.178  0.219  0.575
Zr  0.178  0.959  0.925
Zr  0.219  0.041  0.425
Zr  0.219  0.178  0.075
Zr  0.781  0.822  0.925
Zr  0.781  0.959  0.575
Zr  0.822  0.041  0.075
Zr  0.822  0.781  0.425
Zr  0.959  0.178  0.425
Zr  0.959  0.781  0.075
Fe  0.000  0.000  0.000
Fe  0.000  0.000  0.500
Cl  0.042  0.231  0.158
Cl  0.042  0.812  0.342
Cl  0.078  0.457  0.837
Cl  0.078  0.621  0.663
Cl  0.147  0.417  0.499
Cl  0.147  0.729  0.001
Cl  0.188  0.231  0.342
Cl  0.188  0.958  0.158
Cl  0.231  0.042  0.658
Cl  0.231  0.188  0.842
Cl  0.271  0.417  0.001
Cl  0.271  0.853  0.499
Cl  0.379  0.457  0.663
Cl  0.379  0.922  0.837
Cl  0.417  0.147  0.999
Cl  0.417  0.271  0.501
Cl  0.457  0.078  0.337
Cl  0.457  0.379  0.163
Cl  0.543  0.621  0.837
Cl  0.543  0.922  0.663
Cl  0.583  0.729  0.499
Cl  0.583  0.853  0.001
Cl  0.621  0.078  0.163
Cl  0.621  0.543  0.337
Cl  0.729  0.147  0.501
Cl  0.729  0.583  0.999
Cl  0.769  0.812  0.158
Cl  0.769  0.958  0.342
Cl  0.812  0.042  0.842
Cl  0.812  0.769  0.658
Cl  0.853  0.271  0.999
Cl  0.853  0.583  0.501
Cl  0.922  0.379  0.337
Cl  0.922  0.543  0.163
Cl  0.958  0.188  0.658
Cl  0.958  0.769  0.842

Top 12 peaks for 2θ from 10° to 80°, in order of rising 2θ:
2θ (°)  I (rel.)
10.3  79
11.4  19
14.0  100
20.3  34
26.2  31
31.1  19
33.7  73
40.1  30
41.3  20
47.9  21
48.8  24
49.0  22


# 8
Diffraction record for K2TiCuF6. The X-ray diffraction stick pattern is computed, not measured: it uses a DFT-relaxed cell (PBE, the Materials Project) and a wavelength of 1.5418 Å.

Cell: 5.981 5.981 5.981 Å, 60.00 60.00 60.00°
Sites, in units of the cell vectors:
K  0.250  0.250  0.250
K  0.750  0.750  0.750
Ti  0.000  0.000  0.000
Cu  0.500  0.500  0.500
F  0.236  0.236  0.764
F  0.236  0.764  0.236
F  0.236  0.764  0.764
F  0.764  0.236  0.236
F  0.764  0.236  0.764
F  0.764  0.764  0.236

Top 12 peaks for 2θ from 10° to 80°, in order of rising 2θ:
2θ (°)  I (rel.)
21.0  27
29.9  100
35.2  3
36.8  9
42.8  67
46.8  3
48.1  11
53.0  35
62.1  36
66.3  4
70.4  15
78.3  11


# 9
Diffraction record for Fe9Se8. The X-ray diffraction stick pattern is computed, not measured: it uses a DFT-relaxed cell (PBE, the Materials Project) and a wavelength of 1.5418 Å.

Cell: 7.199 7.199 6.063 Å, 90.00 90.00 90.00°
Sites, in units of the cell vectors:
Fe  0.000  0.000  0.000
Fe  0.000  0.243  0.669
Fe  0.000  0.757  0.669
Fe  0.243  0.000  0.669
Fe  0.249  0.500  0.686
Fe  0.500  0.249  0.686
Fe  0.500  0.751  0.686
Fe  0.751  0.500  0.686
Fe  0.757  0.000  0.669
Se  0.000  0.000  0.395
Se  0.000  0.500  0.436
Se  0.248  0.248  0.930
Se  0.248  0.752  0.930
Se  0.500  0.000  0.436
Se  0.500  0.500  0.446
Se  0.752  0.248  0.930
Se  0.752  0.752  0.930

Top 12 peaks for 2θ from 10° to 80°, in order of rising 2θ:
2θ (°)  I (rel.)
14.6  79
28.8  100
38.4  34
44.8  6
46.6  100
50.7  40
51.9  20
53.1  10
59.4  25
61.1  9
74.6  12
75.5  13